For La2Ga7Ir, a structure optimized by DFT (PBE) gives the computed PXRD pattern in this record (copper Kα).

Principal peaks in the range 5 to 70 degrees two-theta, low angle first:
two_theta, I/Imax
8.23, 22.2
32.44, 47.5
33.68, 100.0
41.70, 52.8
47.21, 21.1
53.80, 22.4

Crystal structure
```
La2Ga7Ir
1.0
4.332 0.000 0.000
0.000 4.332 0.000
0.000 0.000 10.745
La Ga Ir
2 7 1
Cartesian
0.000 2.166 2.614 La
2.166 0.000 8.131 La
0.000 0.000 0.000 Ga
0.000 0.000 5.373 Ga
0.000 2.166 6.857 Ga
0.000 2.166 9.393 Ga
2.166 0.000 1.352 Ga
2.166 0.000 3.888 Ga
2.166 2.166 5.373 Ga
2.166 2.166 0.000 Ir
```

For Tb8PrSc4, a structure optimized by DFT (PBE) gives the computed PXRD pattern in this record (copper Kα).

Principal peaks in the range 5 to 70 degrees two-theta, low angle first:
two_theta, I/Imax
9.90, 32.5
19.88, 20.9
29.71, 45.6
31.93, 100.0
39.72, 30.0
51.27, 28.9

Crystal structure
```
Tb8PrSc4
1.0
3.564 2.057 8.930
-3.564 2.057 8.930
0.000 -4.115 8.930
Tb Pr Sc
8 1 4
Cartesian
-1.953 -1.128 15.270 Tb
0.000 0.000 5.856 Tb
0.000 -2.255 11.520 Tb
-1.953 1.128 11.520 Tb
1.953 -1.128 15.270 Tb
0.000 2.255 15.270 Tb
0.000 0.000 20.934 Tb
1.953 1.128 11.520 Tb
0.000 0.000 13.395 Pr
0.000 0.000 0.000 Sc
-1.782 -1.029 8.930 Sc
-1.782 1.029 17.860 Sc
0.000 2.057 8.930 Sc
```

For Mg7Ga2Hg, a structure optimized by DFT (PBE) gives the computed PXRD pattern in this record (copper Kα).

Principal peaks in the range 5 to 70 degrees two-theta, low angle first:
two_theta, I/Imax
7.70, 55.6
23.07, 100.0
26.75, 36.6
38.08, 66.3
38.30, 64.4
45.06, 51.0

Crystal structure
```
Mg7Ga2Hg
1.0
4.726 0.000 0.000
-2.363 4.093 0.000
0.000 0.000 11.481
Mg Ga Hg
7 2 1
Cartesian
0.000 0.000 0.000 Mg
0.000 0.000 3.014 Mg
0.000 0.000 8.422 Mg
0.000 2.729 4.809 Mg
0.000 2.729 10.250 Mg
2.363 1.364 1.274 Mg
2.363 1.364 6.600 Mg
0.000 0.000 5.714 Ga
0.000 2.729 1.821 Ga
2.363 1.364 9.617 Hg
```

For Nd6Ga3Fe11, a structure optimized by DFT (PBE) gives the computed PXRD pattern in this record (copper Kα).

Principal peaks in the range 5 to 70 degrees two-theta, low angle first:
two_theta, I/Imax
27.27, 55.2
31.40, 100.0
35.15, 77.0
38.27, 48.6
43.18, 30.0
46.55, 30.8

Crystal structure
```
Nd6Ga3Fe11
1.0
-4.036 4.036 11.575
4.036 -4.036 11.575
4.036 4.036 -11.575
Nd Ga Fe
12 6 22
Cartesian
0.000 0.000 0.000 Nd
2.709 1.327 -1.841 Nd
5.398 -1.362 6.936 Nd
0.000 0.000 4.927 Nd
2.709 -1.327 9.735 Nd
2.674 1.362 6.936 Nd
0.000 0.000 11.575 Nd
1.327 5.364 -1.841 Nd
-1.362 2.674 6.936 Nd
0.000 0.000 16.503 Nd
1.327 2.709 9.735 Nd
1.362 5.398 6.936 Nd
3.055 -0.982 4.733 Ga
5.018 0.982 4.733 Ga
0.000 0.000 8.262 Ga
0.982 3.055 4.733 Ga
-0.982 5.018 4.733 Ga
0.000 0.000 19.838 Ga
1.702 -0.553 2.451 Fe
4.036 0.000 2.466 Fe
4.944 0.908 0.271 Fe
6.371 0.553 2.451 Fe
2.593 1.443 1.092 Fe
0.553 1.702 2.451 Fe
2.628 1.408 3.789 Fe
2.593 -1.443 12.667 Fe
4.589 2.334 2.451 Fe
0.908 3.128 0.271 Fe
2.628 -1.408 15.364 Fe
2.334 3.483 2.451 Fe
0.000 4.036 2.466 Fe
3.128 0.908 11.846 Fe
1.702 0.553 14.027 Fe
1.443 5.479 1.092 Fe
-0.553 1.702 14.027 Fe
1.408 5.444 3.789 Fe
1.443 2.593 12.667 Fe
-0.553 6.371 2.451 Fe
-0.908 3.128 11.846 Fe
1.408 2.628 15.364 Fe
```